# 1
RbSiH4: simulated powder diffractogram (Cu Kα (weighted mean of Kα1 and Kα2)), based on the GGA-PBE geometry in Alexandria.

Principal peaks in the range 10° ≤ 2θ ≤ 90°, low angle first:
two_theta	I/Imax	(hkl)
17.48	17	0 1 0
21.68	26	1 0 1
24.69	16	0 1 1
26.12	38	2 0 0
27.99	100	1 1 1
34.99	16	0 0 2
37.84	17	1 2 0
44.19	17	2 0 2
47.25	22	3 1 1
52.49	12	1 2 2

Cell and atoms:
abc: 6.8222 5.0726 5.1282
angles: 90.00 90.00 90.00
Sites, in units of the cell vectors:
Rb: 0.0000 0.0662 0.0000
Rb: 0.5000 0.9338 0.5000
Si: 0.0000 0.5920 0.5148
Si: 0.5000 0.4080 0.0148
H: 0.0000 0.2869 0.5148
H: 0.0000 0.5904 0.2001
H: 0.1733 0.6211 0.7060
H: 0.3267 0.3789 0.2060
H: 0.5000 0.4096 0.7001
H: 0.5000 0.7131 0.0148
H: 0.6733 0.3789 0.2060
H: 0.8267 0.6211 0.7060

***

# 2
Rb3SiH7: simulated powder diffractogram (Cu Kα (weighted mean of Kα1 and Kα2)), based on the GGA-PBE geometry in Alexandria.

Principal peaks in the range 10° ≤ 2θ ≤ 90°, low angle first:
two_theta	I/Imax	(hkl)
22.41	24	1 1 1
25.68	35	2 1 0
27.75	100	2 0 1
30.09	47	2 1 1
31.13	31	0 0 2
32.65	23	2 2 0
36.63	17	3 1 0
40.78	22	2 1 2
45.73	17	2 2 2
51.08	16	4 1 1

Cell and atoms:
abc: 7.7573 7.7573 5.7462
angles: 90.00 90.00 90.00
Sites, in units of the cell vectors:
Rb: 0.0000 0.0000 0.0000
Rb: 0.1792 0.3208 0.5000
Rb: 0.3208 0.8208 0.5000
Rb: 0.5000 0.5000 0.0000
Rb: 0.6792 0.1792 0.5000
Rb: 0.8208 0.6792 0.5000
Si: 0.0000 0.5000 0.0000
Si: 0.5000 0.0000 0.0000
H: 0.0000 0.0000 0.5000
H: 0.1038 0.6038 0.2008
H: 0.1038 0.6038 0.7992
H: 0.1468 0.3532 0.0000
H: 0.3532 0.8532 0.0000
H: 0.3962 0.1038 0.2008
H: 0.3962 0.1038 0.7992
H: 0.5000 0.5000 0.5000
H: 0.6038 0.8962 0.2008
H: 0.6038 0.8962 0.7992
H: 0.6468 0.1468 0.0000
H: 0.8532 0.6468 0.0000
H: 0.8962 0.3962 0.2008
H: 0.8962 0.3962 0.7992

***

# 3
RbSiSnH2: simulated powder diffractogram (Cu Kα (weighted mean of Kα1 and Kα2)), based on the GGA-PBE geometry in Alexandria.

Principal peaks in the range 10° ≤ 2θ ≤ 90°, low angle first:
two_theta	I/Imax	(hkl)
16.81	89	0 0 1
27.68	100	1 1 0
32.55	80	1 1 1
33.99	31	0 0 2
39.53	46	2 0 0
43.24	35	2 0 1
44.38	60	1 1 2
53.11	34	2 0 2
59.97	27	1 1 3
67.31	30	3 1 1

Cell and atoms:
abc: 4.5584 4.5584 5.2751
angles: 90.00 90.00 90.00
Sites, in units of the cell vectors:
Rb: 0.0000 0.0000 0.0000
Si: 0.5000 0.5000 0.5000
Sn: 0.5000 0.5000 0.0000
H: 0.0000 0.5000 0.5000
H: 0.5000 0.0000 0.5000

***

# 4
Rb3Sn2H6: simulated powder diffractogram (Cu Kα (weighted mean of Kα1 and Kα2)), based on the GGA-PBE geometry in Alexandria.

Principal peaks in the range 10° ≤ 2θ ≤ 90°, low angle first:
two_theta	I/Imax	(hkl)
15.99	32	0 0 2
23.23	81	0 2 0
24.05	67	1 1 2
26.79	43	0 1 3
27.74	22	1 0 3
30.83	100	2 1 1
31.80	26	2 0 2
39.75	26	2 2 2
45.85	30	2 3 1
51.21	40	2 1 5

Cell and atoms:
abc: 6.5334 7.6579 11.0852
angles: 90.00 90.00 90.00
Sites, in units of the cell vectors:
Rb: 0.0000 0.0000 0.0000
Rb: 0.0000 0.5000 0.3053
Rb: 0.0000 0.5000 0.6947
Rb: 0.5000 0.0000 0.1947
Rb: 0.5000 0.0000 0.8053
Rb: 0.5000 0.5000 0.5000
Sn: 0.2435 0.0232 0.5000
Sn: 0.2565 0.5232 0.0000
Sn: 0.7435 0.4768 0.0000
Sn: 0.7565 0.9768 0.5000
H: 0.1554 0.6574 0.5000
H: 0.2429 0.6942 0.1194
H: 0.2429 0.6942 0.8806
H: 0.2571 0.1942 0.3806
H: 0.2571 0.1942 0.6194
H: 0.3446 0.1574 0.0000
H: 0.6554 0.8426 0.0000
H: 0.7429 0.8058 0.3806
H: 0.7429 0.8058 0.6194
H: 0.7571 0.3058 0.1194
H: 0.7571 0.3058 0.8806
H: 0.8446 0.3426 0.5000

***

Q: Number 2 is which compound?
A: Rb3SiH7